Computed PXRD pattern
Compound: AcLa9Y4
Radiation: Cu Ka
Structure: a crystal structure in Alexandria, relaxed with PBE
Peak positions follow from Bragg's law for the DFT cell and can differ from measured ones.

a b c (Å): 10.101 10.101 11.802
angles (deg): 90.00 90.00 120.00
Element x y z (fractional)
Ac  0.333  0.667  0.250
Ac  0.667  0.333  0.750
La  0.088  0.544  0.750
La  0.205  0.411  0.024
La  0.205  0.411  0.476
La  0.205  0.795  0.024
La  0.205  0.795  0.476
La  0.411  0.205  0.524
La  0.411  0.205  0.976
La  0.456  0.544  0.750
La  0.456  0.912  0.750
La  0.544  0.088  0.250
La  0.544  0.456  0.250
La  0.589  0.795  0.024
La  0.589  0.795  0.476
La  0.795  0.205  0.524
La  0.795  0.205  0.976
La  0.795  0.589  0.524
La  0.795  0.589  0.976
La  0.912  0.456  0.250
Y  0.000  0.000  0.000
Y  0.000  0.000  0.500
Y  0.110  0.220  0.750
Y  0.110  0.890  0.750
Y  0.220  0.110  0.250
Y  0.780  0.890  0.750
Y  0.890  0.110  0.250
Y  0.890  0.780  0.250

Main lines, by angle (15° ≤ 2θ ≤ 90°):
| 2theta | I/Imax | hkl |
| --- | --- | --- |
| 25.3 | 16 | 2 0 2 |
| 30.3 | 35 | 0 0 4 |
| 30.6 | 28 | 2 0 3 |
| 31.0 | 100 | 2 1 2 |
| 31.6 | 30 | 3 0 1 |
| 35.5 | 23 | 2 2 0 |
| 49.7 | 20 | 3 0 5 |
| 54.5 | 17 | 3 3 0 |
| 54.7 | 22 | 5 0 2 |
| 63.6 | 19 | 3 3 4 |